Theoretical X-ray diffraction stick pattern of BaLi10Hg3 for Cu Kα (λ = 1.5418 Å), from a crystal structure in Alexandria, relaxed with GGA-PBE.
Intensities are scaled so that the largest is 100.

Crystal structure
```
data_BaLi10Hg3
_cell_length_a 13.947
_cell_length_b 13.947
_cell_length_c 13.947
_cell_angle_alpha 90.00
_cell_angle_beta 90.00
_cell_angle_gamma 90.00
_symmetry_space_group_name_H-M 'F m -3 m'
_symmetry_Int_Tables_number 225
_symmetry_space_group_name_Hall '-F 4 2 3'
loop_
_atom_site_label
_atom_site_type_symbol
_atom_site_fract_x
_atom_site_fract_y
_atom_site_fract_z
Ba1 Ba 0.250 0.250 0.250
Li1 Li 0.000 0.170 0.170
Li2 Li 0.107 0.107 0.393
Hg1 Hg 0.000 0.000 0.266
```

Top 10 peaks for 10° ≤ 2θ ≤ 90°, sorted by position:
- hkl 2 2 2, 2θ 22.08, intensity 100.0
- hkl 4 0 0, 2θ 25.55, intensity 51.3
- hkl 4 4 0, 2θ 36.44, intensity 42.7
- hkl 6 2 2, 2θ 43.02, intensity 52.2
- hkl 4 4 4, 2θ 45.03, intensity 14.3
- hkl 6 6 2, 2θ 57.61, intensity 19.7
- hkl 8 4 0, 2θ 59.26, intensity 17.0
- hkl 8 4 4, 2θ 65.58, intensity 13.4
- hkl 10 2 2, 2θ 70.12, intensity 13.2
- hkl 10 6 2, 2θ 81.69, intensity 12.9

=====

Theoretical X-ray diffraction stick pattern of BaLiHgPd for Cu Kα (λ = 1.5418 Å), from a crystal structure in Alexandria, relaxed with GGA-PBE.
Intensities are scaled so that the largest is 100.

Crystal structure
```
data_BaLiHgPd
_cell_length_a 8.261
_cell_length_b 4.753
_cell_length_c 6.104
_cell_angle_alpha 90.00
_cell_angle_beta 116.33
_cell_angle_gamma 90.00
_symmetry_space_group_name_H-M 'C 1 m 1'
_symmetry_Int_Tables_number 8
_symmetry_space_group_name_Hall 'C -2y'
loop_
_atom_site_label
_atom_site_type_symbol
_atom_site_fract_x
_atom_site_fract_y
_atom_site_fract_z
Ba1 Ba 0.000 0.000 0.000
Li1 Li 0.311 0.500 0.436
Hg1 Hg 0.001 0.500 0.503
Pd1 Pd 0.201 0.000 0.603
```

Top 10 peaks for 10° ≤ 2θ ≤ 90°, sorted by position:
- hkl 0 0 1, 2θ 16.20, intensity 47.7
- hkl 2 0 0, 2θ 24.04, intensity 38.7
- hkl 1 1 -1, 2θ 24.22, intensity 75.9
- hkl 1 1 1, 2θ 30.69, intensity 100.0
- hkl 2 0 -2, 2θ 30.85, intensity 49.4
- hkl 0 0 2, 2θ 32.74, intensity 42.5
- hkl 3 1 -1, 2θ 37.76, intensity 79.2
- hkl 0 2 0, 2θ 37.86, intensity 39.3
- hkl 2 2 -2, 2θ 49.61, intensity 26.4
- hkl 1 3 1, 2θ 63.97, intensity 30.1

=====

Theoretical X-ray diffraction stick pattern of Ba3Li2Pr2Hg4 for Cu Kα (λ = 1.5418 Å), from a crystal structure in Alexandria, relaxed with GGA-PBE.
Intensities are scaled so that the largest is 100.

Crystal structure
```
data_Ba3Li2Pr2Hg4
_cell_length_a 5.2508
_cell_length_b 5.2508
_cell_length_c 16.2988
_cell_angle_alpha 90.00
_cell_angle_beta 90.00
_cell_angle_gamma 120.00
_symmetry_space_group_name_H-M 'P -3 m 1'
_symmetry_Int_Tables_number 164
_symmetry_space_group_name_Hall '-P 3 2"'
loop_
_atom_site_label
_atom_site_type_symbol
_atom_site_fract_x
_atom_site_fract_y
_atom_site_fract_z
Ba1 Ba 0.0000 0.0000 0.0000
Ba2 Ba 0.0000 0.0000 0.2595
Li1 Li 0.3333 0.6667 0.1391
Pr1 Pr 0.3333 0.6667 0.5656
Hg1 Hg 0.3333 0.6667 0.3736
Hg2 Hg 0.3333 0.6667 0.8692
```

Top 10 peaks for 10° ≤ 2θ ≤ 90°, sorted by position:
- hkl 1 0 1, 2θ 20.27, intensity 23.5
- hkl 0 1 2, 2θ 22.39, intensity 75.5
- hkl 0 1 4, 2θ 29.43, intensity 97.7
- hkl 1 1 0, 2θ 34.15, intensity 100.0
- hkl 1 0 6, 2θ 38.61, intensity 48.4
- hkl 2 0 4, 2θ 45.69, intensity 29.4
- hkl 0 2 6, 2θ 52.50, intensity 27.2
- hkl 1 2 4, 2θ 58.26, intensity 28.7
- hkl 3 0 0, 2θ 61.14, intensity 19.4
- hkl 2 1 6, 2θ 64.12, intensity 20.7